Computed powder diffractogram of NpC4O8 for Cu Kα (weighted mean of Kα1 and Kα2), from a DFT-relaxed cell (PBE, the Materials Project).

Main lines, sorted by position (2θ from 10° to 90°):
2θ 14.62, d = 6.061 Å, rel. 84.3
2θ 16.76, d = 5.289 Å, rel. 100.0
2θ 20.73, d = 4.285 Å, rel. 20.0
2θ 26.77, d = 3.330 Å, rel. 62.3
2θ 33.89, d = 2.645 Å, rel. 22.1
2θ 34.10, d = 2.629 Å, rel. 18.6
2θ 40.24, d = 2.241 Å, rel. 19.2
2θ 42.86, d = 2.110 Å, rel. 25.0

Structural model:
```
data_NpC4O8
_cell_length_a 8.5710
_cell_length_b 8.5710
_cell_length_c 6.7222
_cell_angle_alpha 90.00
_cell_angle_beta 90.00
_cell_angle_gamma 90.00
_space_group_name_H-M_alt 'I -4'
_space_group_IT_number 82
_space_group_name_Hall 'I -4'
loop_
_atom_site_label
_atom_site_fract_x
_atom_site_fract_y
_atom_site_fract_z
Np1 0.0000 0.0000 0.0000
C1 0.0974 0.2132 0.2772
O1 0.0305 0.7656 0.1892
O2 0.1068 0.8058 0.7427
```